# 1
This entry pairs a crystal structure of Fe3W5N8 with its calculated PXRD pattern. Radiation: copper Kα. Structure: a cell relaxed with PBE.
Peak positions follow from Bragg's law for the DFT cell and can differ from measured ones.

Structural model:
```
Fe3W5N8
1.0
2.869 0.000 0.000
-1.434 2.484 0.000
0.000 0.000 22.543
Fe W N
3 5 8
Cartesian
0.000 0.000 0.000
0.000 0.000 5.532
0.000 0.000 17.010
0.000 0.000 2.767
0.000 0.000 8.328
0.000 0.000 11.271
0.000 0.000 14.215
0.000 0.000 19.776
0.000 1.656 1.418
0.000 1.656 9.917
0.000 1.656 12.626
0.000 1.656 21.125
1.434 0.828 4.115
1.434 0.828 6.996
1.434 0.828 15.547
1.434 0.828 18.427
```

Principal peaks in the range 10 to 80 degrees two-theta, by angle:
2θ/deg, intensity
15.7, 30.1
31.8, 40.3
36.2, 100.0
39.6, 19.4
48.9, 98.8
65.0, 22.9
66.3, 6.6
74.2, 22.6
76.7, 11.5
78.0, 19.2

---

# 2
This entry pairs a crystal structure of Fe3W3N with its calculated PXRD pattern. Radiation: copper Kα. Structure: a cell relaxed with PBE.
Peak positions follow from Bragg's law for the DFT cell and can differ from measured ones.

Structural model:
```
Fe3W3N
1.0
0.000 5.525 5.525
5.525 0.000 5.525
5.525 5.525 0.000
Fe W N
12 12 4
Cartesian
0.000 0.000 0.000
2.763 2.763 0.000
2.763 0.000 2.763
8.808 5.006 5.006
2.243 2.243 2.243
6.045 6.045 2.243
6.045 2.243 6.045
0.000 2.763 2.763
5.006 8.808 5.006
5.006 5.006 8.808
8.808 8.808 8.808
2.243 6.045 6.045
4.144 4.144 1.896
4.144 1.896 4.144
6.392 4.144 4.144
6.907 6.907 4.659
6.907 4.659 6.907
9.155 6.907 6.907
1.896 4.144 4.144
4.144 6.392 4.144
4.144 4.144 6.392
4.659 6.907 6.907
6.907 9.155 6.907
6.907 6.907 9.155
5.525 2.763 2.763
2.763 5.525 2.763
2.763 2.763 5.525
5.525 5.525 5.525
```

Principal peaks in the range 10 to 80 degrees two-theta, by angle:
2θ/deg, intensity
22.8, 14.2
32.4, 41.7
35.4, 28.1
40.0, 58.0
42.5, 100.0
46.5, 52.6
59.8, 17.8
64.8, 16.4
69.6, 18.5
72.6, 45.1

---

# 3
This entry pairs a crystal structure of Fe3W4N8 with its calculated PXRD pattern. Radiation: copper Kα. Structure: a cell relaxed with PBE.
Peak positions follow from Bragg's law for the DFT cell and can differ from measured ones.

Structural model:
```
Fe3W4N8
1.0
10.682 -1.432 0.000
10.682 1.432 0.000
-0.947 0.000 4.931
Fe W N
3 4 8
Cartesian
0.000 0.000 0.000
5.144 0.000 1.406
15.273 0.000 3.524
2.542 0.000 0.539
7.840 0.000 1.929
12.577 0.000 3.002
17.875 0.000 4.392
0.566 0.000 3.675
3.123 0.000 4.044
6.119 0.000 3.283
8.677 0.000 3.861
11.739 0.000 1.069
14.298 0.000 1.648
17.294 0.000 0.887
19.850 0.000 1.256
```

Principal peaks in the range 10 to 80 degrees two-theta, by angle:
2θ/deg, intensity
16.9, 100.0
34.2, 38.5
35.8, 40.0
36.1, 77.4
39.8, 23.8
40.5, 36.2
50.0, 35.8
51.2, 33.0
51.6, 16.7
64.6, 17.7

---

# 4
This entry pairs a crystal structure of Y2Fe17N3 with its calculated PXRD pattern. Radiation: copper Kα. Structure: a cell relaxed with PBE.
Peak positions follow from Bragg's law for the DFT cell and can differ from measured ones.

Structural model:
```
Y2Fe17N3
1.0
8.649 0.000 0.000
-4.324 7.490 0.000
0.000 0.000 8.379
Y Fe N
4 34 6
Cartesian
0.000 0.000 2.095
0.000 0.000 6.285
0.000 4.993 2.095
4.324 2.497 6.285
-2.162 3.745 0.000
-2.162 3.745 4.190
-1.191 2.854 6.285
-2.449 5.031 6.285
0.000 2.538 0.171
0.000 2.538 4.019
-2.126 6.221 0.171
-2.126 6.221 4.019
1.191 2.854 6.285
-1.257 7.095 6.285
0.000 4.993 5.096
0.000 4.993 7.473
2.198 1.269 4.360
2.198 1.269 8.209
3.067 0.395 2.095
1.876 2.458 2.095
4.324 0.000 0.000
4.324 0.000 4.190
2.162 3.745 0.000
2.162 3.745 4.190
2.449 5.031 6.285
1.257 7.095 6.285
2.126 6.221 0.171
2.126 6.221 4.019
4.324 2.497 0.906
4.324 2.497 3.283
5.582 0.395 2.095
3.133 4.636 2.095
6.451 1.269 4.360
6.451 1.269 8.209
4.324 4.952 4.360
4.324 4.952 8.209
6.773 2.458 2.095
5.515 4.636 2.095
0.000 2.455 2.095
-2.198 6.262 2.095
2.126 1.228 6.285
2.198 6.262 2.095
6.522 1.228 6.285
4.324 5.035 6.285
```

Principal peaks in the range 10 to 80 degrees two-theta, by angle:
2θ/deg, intensity
29.7, 20.5
36.0, 32.0
40.3, 41.1
41.8, 83.7
42.1, 100.0
43.2, 42.6
47.3, 44.7
49.9, 19.2
76.3, 23.8
78.5, 21.3

---

Which formula does entry 4 have? Y2Fe17N3

---

Which formula does entry 2 have? Fe3W3N